[1]
Theoretical powder X-ray diffraction pattern
Compound: Sm2Ga5Fe12
Radiation: Cu Kα
Structure: the PBE geometry in the Materials Project
Intensities are scaled so that the largest is 100.

a b c (Å): 6.5600 6.5600 6.5600
angles (deg): 82.53 82.53 82.53
Fractional coordinates of all 19 atoms:
Sm  0.1514  0.1514  0.1514
Sm  0.8486  0.8486  0.8486
Ga  0.0000  0.5000  0.5000
Ga  0.4039  0.4039  0.4039
Ga  0.5000  0.0000  0.5000
Ga  0.5000  0.5000  0.0000
Ga  0.5961  0.5961  0.5961
Fe  0.1575  0.1575  0.6640
Fe  0.1575  0.6640  0.1575
Fe  0.1956  0.5000  0.8044
Fe  0.1956  0.8044  0.5000
Fe  0.3360  0.8425  0.8425
Fe  0.5000  0.1956  0.8044
Fe  0.5000  0.8044  0.1956
Fe  0.6640  0.1575  0.1575
Fe  0.8044  0.1956  0.5000
Fe  0.8044  0.5000  0.1956
Fe  0.8425  0.3360  0.8425
Fe  0.8425  0.8425  0.3360

Principal peaks in the range 2θ = 10–90°, low angle first:
3.032 Å, I = 33
2.498 Å, I = 44
2.163 Å, I = 65
2.154 Å, I = 100
2.126 Å, I = 30
1.928 Å, I = 27

[2]
Theoretical powder X-ray diffraction pattern
Compound: YCuPb
Radiation: Cu Kα
Structure: the PBE geometry in the Materials Project
Intensities are scaled so that the largest is 100.

a b c (Å): 4.6339 4.6339 7.3963
angles (deg): 90.00 90.00 120.00
Fractional coordinates of all 6 atoms:
Y  0.0000  0.0000  0.0000
Y  0.0000  0.0000  0.5000
Cu  0.3333  0.6667  0.3241
Cu  0.6667  0.3333  0.8241
Pb  0.3333  0.6667  0.7300
Pb  0.6667  0.3333  0.2300

Principal peaks in the range 2θ = 10–90°, low angle first:
3.527 Å, I = 75
2.719 Å, I = 100
2.317 Å, I = 96
2.101 Å, I = 43
1.764 Å, I = 28
1.403 Å, I = 26

[3]
Theoretical powder X-ray diffraction pattern
Compound: MgSc2S4
Radiation: Cu Kα
Structure: the PBE geometry in the Materials Project
Intensities are scaled so that the largest is 100.

a b c (Å): 7.7054 7.2216 10.7346
angles (deg): 90.00 90.00 90.00
Fractional coordinates of all 28 atoms:
Mg  0.1713  0.2500  0.1087
Mg  0.3287  0.7500  0.6087
Mg  0.6713  0.2500  0.3913
Mg  0.8287  0.7500  0.8913
Sc  0.0300  0.7500  0.2000
Sc  0.0619  0.2500  0.4924
Sc  0.4381  0.7500  0.9924
Sc  0.4700  0.2500  0.7000
Sc  0.5300  0.7500  0.3000
Sc  0.5619  0.2500  0.0076
Sc  0.9381  0.7500  0.5076
Sc  0.9700  0.2500  0.8000
S  0.0978  0.5165  0.6605
S  0.0978  0.9835  0.6605
S  0.1187  0.7500  0.9741
S  0.2304  0.7500  0.3868
S  0.2696  0.2500  0.8868
S  0.3813  0.2500  0.4741
S  0.4022  0.0165  0.1605
S  0.4022  0.4835  0.1605
S  0.5978  0.5165  0.8395
S  0.5978  0.9835  0.8395
S  0.6187  0.7500  0.5259
S  0.7304  0.7500  0.1132
S  0.7696  0.2500  0.6132
S  0.8813  0.2500  0.0259
S  0.9022  0.0165  0.3395
S  0.9022  0.4835  0.3395

Principal peaks in the range 2θ = 10–90°, low angle first:
5.992 Å, I = 57
3.611 Å, I = 87
2.960 Å, I = 57
2.559 Å, I = 66
2.414 Å, I = 100
2.361 Å, I = 69